1.
# Er5Al3Ni3Ge4
Calculated powder diffraction line list, copper Kα. Input: a DFT-relaxed cell (PBE, the Materials Project).
Peak positions follow from Bragg's law for the DFT cell and can differ from measured ones.

Top 10 peaks for 2θ = 10–90°, sorted by position:
2θ/deg, I (rel.)
21.88, 35
32.21, 19
34.27, 46
34.50, 98
36.85, 100
38.68, 20
39.55, 45
40.07, 18
43.53, 49
60.30, 18

Atomic structure:
a = 4.158 Å, b = 19.065 Å, c = 6.841 Å
α = 90.00°, β = 90.00°, γ = 90.00°
Element x y z (fractional)
Er 0.250 0.071 0.000
Er 0.250 0.120 0.496
Er 0.250 0.250 0.115
Er 0.250 0.380 0.496
Er 0.250 0.429 0.000
Er 0.750 0.571 0.000
Er 0.750 0.620 0.504
Er 0.750 0.750 0.885
Er 0.750 0.880 0.504
Er 0.750 0.929 0.000
Al 0.250 0.678 0.184
Al 0.250 0.750 0.528
Al 0.250 0.822 0.184
Al 0.750 0.178 0.816
Al 0.750 0.250 0.472
Al 0.750 0.322 0.816
Ni 0.250 0.250 0.706
Ni 0.250 0.526 0.666
Ni 0.250 0.974 0.666
Ni 0.750 0.026 0.334
Ni 0.750 0.474 0.334
Ni 0.750 0.750 0.294
Ge 0.250 0.539 0.297
Ge 0.250 0.646 0.790
Ge 0.250 0.854 0.790
Ge 0.250 0.961 0.297
Ge 0.750 0.039 0.703
Ge 0.750 0.146 0.210
Ge 0.750 0.354 0.210
Ge 0.750 0.461 0.703



2.
# Er2Al4NiGe2
Calculated powder diffraction line list, copper Kα. Input: a DFT-relaxed cell (PBE, the Materials Project).
Peak positions follow from Bragg's law for the DFT cell and can differ from measured ones.

Top 10 peaks for 2θ = 10–90°, sorted by position:
2θ/deg, I (rel.)
22.05, 24
27.78, 34
30.67, 75
31.79, 67
32.08, 66
41.85, 100
43.93, 63
52.77, 23
55.23, 28
79.32, 30

Atomic structure:
a = 10.066 Å, b = 10.066 Å, c = 10.066 Å
α = 156.37°, β = 156.37°, γ = 33.67°
Element x y z (fractional)
Er 0.187 0.187 0.000
Er 0.813 0.813 0.000
Al 0.068 0.568 0.500
Al 0.432 0.932 0.500
Al 0.568 0.068 0.500
Al 0.932 0.432 0.500
Ni 0.000 0.000 0.000
Ge 0.337 0.337 0.000
Ge 0.663 0.663 0.000



3.
# HoErAl2
Calculated powder diffraction line list, copper Kα. Input: a DFT-relaxed cell (PBE, the Materials Project).
Peak positions follow from Bragg's law for the DFT cell and can differ from measured ones.

Top 9 peaks for 2θ = 10–90°, sorted by position:
2θ/deg, I (rel.)
24.94, 63
35.56, 100
43.93, 19
51.18, 18
57.75, 26
63.87, 37
75.29, 11
80.76, 12
86.14, 16

Atomic structure:
a = 7.140 Å, b = 7.140 Å, c = 7.140 Å
α = 90.00°, β = 90.00°, γ = 90.00°
Element x y z (fractional)
Ho 0.000 0.000 0.000
Ho 0.000 0.500 0.500
Ho 0.500 0.000 0.500
Ho 0.500 0.500 0.000
Er 0.000 0.000 0.500
Er 0.000 0.500 0.000
Er 0.500 0.000 0.000
Er 0.500 0.500 0.500
Al 0.250 0.250 0.250
Al 0.250 0.250 0.750
Al 0.250 0.750 0.250
Al 0.250 0.750 0.750
Al 0.750 0.250 0.250
Al 0.750 0.250 0.750
Al 0.750 0.750 0.250
Al 0.750 0.750 0.750



4.
# ErMn6Al6
Calculated powder diffraction line list, copper Kα. Input: a DFT-relaxed cell (PBE, the Materials Project).
Peak positions follow from Bragg's law for the DFT cell and can differ from measured ones.

Top 10 peaks for 2θ = 10–90°, sorted by position:
2θ/deg, I (rel.)
14.44, 61
20.82, 24
29.15, 56
29.46, 54
41.10, 36
41.63, 63
41.97, 37
42.14, 100
42.37, 32
61.13, 24

Atomic structure:
a = 6.610 Å, b = 6.610 Å, c = 6.610 Å
α = 136.30°, β = 99.21°, γ = 96.71°
Element x y z (fractional)
Er 0.000 0.000 0.000
Mn 0.000 0.000 0.500
Mn 0.000 0.500 0.000
Mn 0.235 0.500 0.735
Mn 0.500 0.000 0.000
Mn 0.500 0.500 0.500
Mn 0.765 0.500 0.265
Al 0.195 0.695 0.500
Al 0.338 0.000 0.338
Al 0.347 0.347 0.000
Al 0.653 0.653 0.000
Al 0.662 0.000 0.662
Al 0.805 0.305 0.500



5.
# Sr2Er2Al3Si5N11O3
Calculated powder diffraction line list, copper Kα. Input: a DFT-relaxed cell (PBE, the Materials Project).
Peak positions follow from Bragg's law for the DFT cell and can differ from measured ones.

Top 10 peaks for 2θ = 10–90°, sorted by position:
2θ/deg, I (rel.)
23.80, 100
28.82, 83
30.65, 33
33.65, 49
34.52, 51
37.71, 29
38.95, 33
45.49, 45
48.14, 29
59.69, 33

Atomic structure:
a = 6.196 Å, b = 6.196 Å, c = 10.425 Å
α = 90.00°, β = 90.00°, γ = 120.00°
Element x y z (fractional)
Sr 0.000 0.000 0.000
Sr 0.333 0.667 0.516
Er 0.000 0.000 0.507
Er 0.333 0.667 0.215
Al 0.344 0.172 0.302
Al 0.828 0.172 0.302
Al 0.828 0.656 0.302
Si 0.007 0.503 0.800
Si 0.497 0.503 0.800
Si 0.497 0.993 0.800
Si 0.667 0.333 0.080
Si 0.667 0.333 0.575
N 0.158 0.316 0.362
N 0.158 0.842 0.362
N 0.367 0.183 0.128
N 0.520 0.040 0.643
N 0.520 0.480 0.643
N 0.667 0.333 0.401
N 0.667 0.333 0.883
N 0.684 0.842 0.362
N 0.817 0.183 0.128
N 0.817 0.633 0.128
N 0.960 0.480 0.643
O 0.193 0.385 0.849
O 0.193 0.807 0.849
O 0.615 0.807 0.849



6.
# SrErAl3SiN4O3
Calculated powder diffraction line list, copper Kα. Input: a DFT-relaxed cell (PBE, the Materials Project).
Peak positions follow from Bragg's law for the DFT cell and can differ from measured ones.

Top 10 peaks for 2θ = 10–90°, sorted by position:
2θ/deg, I (rel.)
16.79, 24
18.96, 55
29.30, 73
31.46, 100
34.34, 100
35.13, 43
53.33, 41
55.26, 25
57.34, 40
60.78, 31

Atomic structure:
a = 6.096 Å, b = 6.096 Å, c = 10.127 Å
α = 90.00°, β = 90.00°, γ = 120.00°
Element x y z (fractional)
Sr 0.333 0.667 0.000
Sr 0.667 0.333 0.500
Er 0.333 0.667 0.379
Er 0.667 0.333 0.879
Al 0.165 0.331 0.680
Al 0.165 0.835 0.680
Al 0.331 0.165 0.180
Al 0.669 0.835 0.680
Al 0.835 0.165 0.180
Al 0.835 0.669 0.180
Si 0.000 0.000 0.443
Si 0.000 0.000 0.943
N 0.000 0.000 0.262
N 0.000 0.000 0.762
N 0.155 0.309 0.499
N 0.155 0.845 0.499
N 0.309 0.155 0.999
N 0.691 0.845 0.499
N 0.845 0.155 0.999
N 0.845 0.691 0.999
O 0.019 0.510 0.735
O 0.490 0.510 0.735
O 0.490 0.981 0.735
O 0.510 0.019 0.235
O 0.510 0.490 0.235
O 0.981 0.490 0.235



7.
# ErAl2Ni
Calculated powder diffraction line list, copper Kα. Input: a DFT-relaxed cell (PBE, the Materials Project).
Peak positions follow from Bragg's law for the DFT cell and can differ from measured ones.

Top 10 peaks for 2θ = 10–90°, sorted by position:
2θ/deg, I (rel.)
21.93, 22
23.66, 67
26.01, 52
35.45, 95
37.20, 100
38.13, 56
44.71, 31
52.48, 25
53.54, 42
60.18, 29

Atomic structure:
a = 4.054 Å, b = 10.056 Å, c = 6.852 Å
α = 90.00°, β = 90.00°, γ = 90.00°
Element x y z (fractional)
Er 0.000 0.063 0.250
Er 0.000 0.937 0.750
Er 0.500 0.437 0.750
Er 0.500 0.563 0.250
Al 0.000 0.346 0.054
Al 0.000 0.346 0.446
Al 0.000 0.654 0.554
Al 0.000 0.654 0.946
Al 0.500 0.154 0.554
Al 0.500 0.154 0.946
Al 0.500 0.846 0.054
Al 0.500 0.846 0.446
Ni 0.000 0.215 0.750
Ni 0.000 0.785 0.250
Ni 0.500 0.285 0.250
Ni 0.500 0.715 0.750



8.
# ErAl9Ni3
Calculated powder diffraction line list, copper Kα. Input: a DFT-relaxed cell (PBE, the Materials Project).
Peak positions follow from Bragg's law for the DFT cell and can differ from measured ones.

Top 10 peaks for 2θ = 10–90°, sorted by position:
2θ/deg, I (rel.)
24.47, 45
26.38, 37
31.46, 94
38.59, 81
39.51, 23
43.08, 100
59.20, 22
59.87, 31
71.71, 21
75.97, 26

Atomic structure:
a = 10.043 Å, b = 10.043 Å, c = 10.043 Å
α = 42.46°, β = 42.46°, γ = 42.46°
Element x y z (fractional)
Er 0.167 0.167 0.167
Er 0.833 0.833 0.833
Al 0.000 0.666 0.334
Al 0.052 0.052 0.052
Al 0.103 0.433 0.763
Al 0.237 0.567 0.897
Al 0.282 0.282 0.282
Al 0.291 0.709 0.500
Al 0.334 0.000 0.666
Al 0.387 0.387 0.387
Al 0.433 0.763 0.103
Al 0.500 0.291 0.709
Al 0.567 0.897 0.237
Al 0.613 0.613 0.613
Al 0.666 0.334 0.000
Al 0.709 0.500 0.291
Al 0.718 0.718 0.718
Al 0.763 0.103 0.433
Al 0.897 0.237 0.567
Al 0.948 0.948 0.948
Ni 0.078 0.758 0.418
Ni 0.242 0.922 0.582
Ni 0.418 0.078 0.758
Ni 0.582 0.242 0.922
Ni 0.758 0.418 0.078
Ni 0.922 0.582 0.242